Structure and computed X-ray powder pattern of FeNi2H3 (DFT lattice parameters and positions (PBE); CuKα).

Structure:
```
data_FeNi2H3
_chemical_formula_sum 'Fe2 Ni4 H6'
_symmetry_space_group_name_H-M 'I 4/m m m'
_symmetry_Int_Tables_number 139
_symmetry_space_group_name_Hall '-I 4 2'
_cell_length_a 2.6323
_cell_length_b 2.6323
_cell_length_c 11.3140
_cell_angle_alpha 90.00
_cell_angle_beta 90.00
_cell_angle_gamma 90.00
loop_
_atom_site_label
_atom_site_fract_x
_atom_site_fract_y
_atom_site_fract_z
Fe1 0.0000 0.0000 0.0000
Ni1 0.0000 0.0000 0.3345
H1 0.0000 0.0000 0.1706
H2 0.0000 0.0000 0.5000
```

Largest 7 diffraction maxima, most intense first, 2θ from 15° to 90°:
| 2θ (°) | d/Å | Rel. int. |
| --- | --- | --- |
| 41.85 | 2.159 | 1000 |
| 48.94 | 1.861 | 331 |
| 86.64 | 1.124 | 214 |
| 71.18 | 1.325 | 193 |
| 48.26 | 1.886 | 173 |
| 85.62 | 1.134 | 110 |
| 71.71 | 1.316 | 94 |

=====

Structure and computed X-ray powder pattern of Fe2Ni14H9 (DFT lattice parameters and positions (PBE); CuKα).

Structure:
```
data_Fe2Ni14H9
_chemical_formula_sum 'Fe2 Ni14 H9'
_symmetry_space_group_name_H-M 'P -3'
_symmetry_Int_Tables_number 147
_cell_length_a 6.3790
_cell_length_b 6.3790
_cell_length_c 5.8613
_cell_angle_alpha 90.00
_cell_angle_beta 90.00
_cell_angle_gamma 120.00
loop_
_symmetry_equiv_pos_as_xyz
'x,y,z'
'-x,-y,-z'
'-y,x-y,z'
'y,-x+y,-z'
'-x+y,-x,z'
'x-y,x,-z'
loop_
_atom_site_label
_atom_site_fract_x
_atom_site_fract_y
_atom_site_fract_z
Fe1 0.3333 0.6667 0.2469
Ni1 0.0000 0.0000 0.2696
Ni2 0.0849 0.6946 0.9243
Ni3 0.1078 0.4174 0.5874
H1 0.0000 0.0000 0.0000
H2 0.0083 0.7422 0.6572
H3 0.3333 0.6667 0.9156
```

Largest 10 diffraction maxima, most intense first, 2θ from 15° to 90°:
| 2θ (°) | d/Å | Rel. int. |
| --- | --- | --- |
| 41.86 | 2.158 | 1000 |
| 46.15 | 1.967 | 936 |
| 49.49 | 1.842 | 442 |
| 35.94 | 2.499 | 313 |
| 43.33 | 2.088 | 195 |
| 70.76 | 1.332 | 185 |
| 79.50 | 1.206 | 183 |
| 86.25 | 1.128 | 155 |
| 76.97 | 1.239 | 114 |
| 66.78 | 1.401 | 85 |

=====

Structure and computed X-ray powder pattern of FeNi5H7 (DFT lattice parameters and positions (PBE); CuKα).

Structure:
```
data_FeNi5H7
_chemical_formula_sum 'Fe2 Ni10 H14'
_symmetry_space_group_name_H-M 'P 1 21/m 1'
_symmetry_Int_Tables_number 11
_cell_length_a 2.6127
_cell_length_b 14.5456
_cell_length_c 4.5412
_cell_angle_alpha 90.00
_cell_angle_beta 106.55
_cell_angle_gamma 90.00
loop_
_symmetry_equiv_pos_as_xyz
'x,y,z'
'-x,-y,-z'
'-x,y+1/2,-z'
'x,-y+1/2,z'
loop_
_atom_site_label
_atom_site_fract_x
_atom_site_fract_y
_atom_site_fract_z
Fe1 0.1970 0.2500 0.3931
Ni1 0.0000 0.0000 0.0000
Ni2 0.2731 0.5807 0.5471
Ni3 0.4563 0.1549 0.9129
H1 0.0891 0.1115 0.1794
H2 0.1737 0.6806 0.3481
H3 0.3637 0.0357 0.7275
H4 0.4418 0.7500 0.8873
```

Largest 10 diffraction maxima, most intense first, 2θ from 15° to 90°:
| 2θ (°) | d/Å | Rel. int. |
| --- | --- | --- |
| 42.69 | 2.118 | 1000 |
| 40.57 | 2.224 | 629 |
| 43.92 | 2.061 | 539 |
| 41.97 | 2.153 | 320 |
| 41.49 | 2.177 | 287 |
| 48.47 | 1.878 | 249 |
| 37.17 | 2.419 | 209 |
| 48.60 | 1.873 | 197 |
| 38.03 | 2.366 | 166 |
| 69.20 | 1.358 | 162 |

=====

Structure and computed X-ray powder pattern of FeNi6H4 (DFT lattice parameters and positions (PBE); CuKα).

Structure:
```
data_FeNi6H4
_chemical_formula_sum 'Fe2 Ni12 H8'
_symmetry_space_group_name_H-M 'C 1 m 1'
_symmetry_Int_Tables_number 8
_cell_length_a 7.2700
_cell_length_b 6.6849
_cell_length_c 5.1893
_cell_angle_alpha 90.00
_cell_angle_beta 133.85
_cell_angle_gamma 90.00
loop_
_symmetry_equiv_pos_as_xyz
'x,y,z'
'x,-y,z'
'x+1/2,y+1/2,z'
'x+1/2,-y+1/2,z'
loop_
_atom_site_label
_atom_site_fract_x
_atom_site_fract_y
_atom_site_fract_z
Fe1 0.0000 0.0000 0.0000
Ni1 0.0285 0.5000 0.4827
Ni2 0.2495 0.2666 0.0112
Ni3 0.2730 0.2043 0.5442
Ni4 0.4720 0.5000 0.5113
H1 0.0018 0.5000 0.7790
H2 0.0360 0.3413 0.2295
H3 0.2285 0.0000 0.9411
```

Largest 10 diffraction maxima, most intense first, 2θ from 15° to 90°:
| 2θ (°) | d/Å | Rel. int. |
| --- | --- | --- |
| 44.21 | 2.049 | 1000 |
| 43.89 | 2.063 | 837 |
| 48.66 | 1.871 | 332 |
| 50.20 | 1.817 | 256 |
| 54.91 | 1.672 | 218 |
| 41.31 | 2.186 | 106 |
| 76.41 | 1.247 | 105 |
| 21.69 | 4.098 | 93 |
| 87.39 | 1.116 | 92 |
| 41.55 | 2.173 | 91 |

=====

Structure and computed X-ray powder pattern of FeNi7H6 (DFT lattice parameters and positions (PBE); CuKα).

Structure:
```
data_FeNi7H6
_chemical_formula_sum 'Fe3 Ni21 H18'
_symmetry_space_group_name_H-M 'R 3'
_symmetry_Int_Tables_number 146
_symmetry_space_group_name_Hall 'R 3'
_cell_length_a 4.4352
_cell_length_b 4.4352
_cell_length_c 18.8276
_cell_angle_alpha 90.00
_cell_angle_beta 90.00
_cell_angle_gamma 120.00
loop_
_atom_site_label
_atom_site_fract_x
_atom_site_fract_y
_atom_site_fract_z
Fe1 0.0000 0.0000 0.0000
Ni1 0.0000 0.0000 0.3340
Ni2 0.0041 0.3350 0.5552
Ni3 0.0036 0.6698 0.7789
H1 0.0034 0.6588 0.9388
H2 0.0040 0.3431 0.0620
```

Largest 10 diffraction maxima, most intense first, 2θ from 15° to 90°:
| 2θ (°) | d/Å | Rel. int. |
| --- | --- | --- |
| 43.27 | 2.091 | 1000 |
| 50.39 | 1.811 | 497 |
| 89.81 | 1.092 | 327 |
| 74.03 | 1.281 | 277 |
| 23.64 | 3.763 | 56 |
| 25.04 | 3.556 | 51 |
| 30.03 | 2.976 | 32 |
| 33.32 | 2.689 | 26 |
| 40.69 | 2.218 | 20 |
| 28.44 | 3.138 | 15 |

=====

Structure and computed X-ray powder pattern of Fe5NiH4 (DFT lattice parameters and positions (PBE); CuKα).

Structure:
```
data_Fe5NiH4
_chemical_formula_sum 'Fe10 Ni2 H8'
_symmetry_space_group_name_H-M 'C 1 2/m 1'
_symmetry_Int_Tables_number 12
_cell_length_a 11.6979
_cell_length_b 2.5903
_cell_length_c 5.1977
_cell_angle_alpha 90.00
_cell_angle_beta 102.90
_cell_angle_gamma 90.00
loop_
_symmetry_equiv_pos_as_xyz
'x,y,z'
'-x,-y,-z'
'-x,y,-z'
'x,-y,z'
'x+1/2,y+1/2,z'
'-x+1/2,-y+1/2,-z'
'-x+1/2,y+1/2,-z'
'x+1/2,-y+1/2,z'
loop_
_atom_site_label
_atom_site_fract_x
_atom_site_fract_y
_atom_site_fract_z
Fe1 0.0000 0.0000 0.0000
Fe2 0.1650 0.5000 0.8419
Fe3 0.1664 0.5000 0.3242
Ni1 0.0000 0.0000 0.5000
H1 0.0012 0.5000 0.2409
H2 0.1713 0.0000 0.5869
```

Largest 10 diffraction maxima, most intense first, 2θ from 15° to 90°:
| 2θ (°) | d/Å | Rel. int. |
| --- | --- | --- |
| 42.22 | 2.140 | 1000 |
| 42.12 | 2.145 | 998 |
| 49.70 | 1.835 | 625 |
| 71.47 | 1.320 | 376 |
| 47.86 | 1.900 | 356 |
| 88.10 | 1.109 | 205 |
| 87.90 | 1.111 | 201 |
| 85.28 | 1.138 | 112 |
| 85.21 | 1.139 | 111 |
| 73.06 | 1.295 | 89 |

=====

Structure and computed X-ray powder pattern of NpFeNiH6 (DFT lattice parameters and positions (PBE); CuKα).

Structure:
```
data_NpFeNiH6
_chemical_formula_sum 'Np1 Fe1 Ni1 H6'
_symmetry_space_group_name_H-M 'P -6 m 2'
_symmetry_Int_Tables_number 187
_symmetry_space_group_name_Hall 'P -6 2'
_cell_length_a 4.3473
_cell_length_b 4.3473
_cell_length_c 4.1556
_cell_angle_alpha 90.00
_cell_angle_beta 90.00
_cell_angle_gamma 120.00
loop_
_atom_site_label
_atom_site_fract_x
_atom_site_fract_y
_atom_site_fract_z
Np1 0.0000 0.0000 0.0000
Fe1 0.6667 0.3333 0.5000
Ni1 0.3333 0.6667 0.5000
H1 0.5006 0.0012 0.2356
```

Largest 10 diffraction maxima, most intense first, 2θ from 15° to 90°:
| 2θ (°) | d/Å | Rel. int. |
| --- | --- | --- |
| 32.08 | 2.790 | 1000 |
| 41.55 | 2.174 | 359 |
| 23.63 | 3.765 | 329 |
| 53.44 | 1.715 | 241 |
| 61.76 | 1.502 | 225 |
| 69.87 | 1.346 | 215 |
| 50.15 | 1.819 | 103 |
| 43.56 | 2.078 | 102 |
| 72.74 | 1.300 | 96 |
| 87.42 | 1.116 | 61 |

=====

Structure and computed X-ray powder pattern of Pm2FeNiH6 (DFT lattice parameters and positions (PBE); CuKα).

Structure:
```
data_Pm2FeNiH6
_chemical_formula_sum 'Pm4 Fe2 Ni2 H12'
_symmetry_space_group_name_H-M 'C 1 2/m 1'
_symmetry_Int_Tables_number 12
_cell_length_a 7.1623
_cell_length_b 7.2069
_cell_length_c 5.0731
_cell_angle_alpha 90.00
_cell_angle_beta 134.74
_cell_angle_gamma 90.00
loop_
_symmetry_equiv_pos_as_xyz
'x,y,z'
'-x,-y,-z'
'-x,y,-z'
'x,-y,z'
'x+1/2,y+1/2,z'
'-x+1/2,-y+1/2,-z'
'-x+1/2,y+1/2,-z'
'x+1/2,-y+1/2,z'
loop_
_atom_site_label
_atom_site_fract_x
_atom_site_fract_y
_atom_site_fract_z
Pm1 0.0000 0.2500 0.0000
Fe1 0.0000 0.0000 0.5000
Ni1 0.0000 0.5000 0.5000
H1 0.0000 0.2389 0.5000
H2 0.2388 0.0000 0.9781
H3 0.2400 0.0000 0.4996
```

Largest 10 diffraction maxima, most intense first, 2θ from 15° to 90°:
| 2θ (°) | d/Å | Rel. int. |
| --- | --- | --- |
| 35.24 | 2.547 | 1000 |
| 35.35 | 2.539 | 991 |
| 24.71 | 3.603 | 260 |
| 50.67 | 1.802 | 243 |
| 63.23 | 1.471 | 237 |
| 63.33 | 1.469 | 236 |
| 85.16 | 1.139 | 180 |
| 43.59 | 2.076 | 135 |
| 24.86 | 3.581 | 128 |
| 51.00 | 1.791 | 119 |

=====

Structure and computed X-ray powder pattern of NpFe3H6 (DFT lattice parameters and positions (PBE); CuKα).

Structure:
```
data_NpFe3H6
_chemical_formula_sum 'Np3 Fe9 H18'
_symmetry_space_group_name_H-M 'R 3'
_symmetry_Int_Tables_number 146
_symmetry_space_group_name_Hall 'R 3'
_cell_length_a 4.4500
_cell_length_b 4.4500
_cell_length_c 13.6646
_cell_angle_alpha 90.00
_cell_angle_beta 90.00
_cell_angle_gamma 120.00
loop_
_atom_site_label
_atom_site_fract_x
_atom_site_fract_y
_atom_site_fract_z
Np1 0.0000 0.0000 0.0000
Fe1 0.0000 0.0000 0.1654
Fe2 0.0000 0.0000 0.4527
Fe3 0.0000 0.0000 0.7906
H1 0.0110 0.3796 0.1970
H2 0.1643 0.8297 0.3736
```

Largest 10 diffraction maxima, most intense first, 2θ from 15° to 90°:
| 2θ (°) | d/Å | Rel. int. |
| --- | --- | --- |
| 40.51 | 2.227 | 1000 |
| 23.99 | 3.709 | 699 |
| 26.56 | 3.357 | 456 |
| 35.10 | 2.556 | 380 |
| 57.95 | 1.592 | 242 |
| 73.73 | 1.285 | 233 |
| 19.49 | 4.555 | 133 |
| 58.62 | 1.575 | 127 |
| 47.66 | 1.908 | 123 |
| 39.57 | 2.277 | 123 |